# Sr2Ti6N2O11
Computed powder XRD pattern, CuKα. Input: a DFT-relaxed cell (PBE, the Materials Project).
Neutral-atom scattering factors, no anomalous dispersion.

Largest 8 diffraction maxima, in order of rising 2θ, 15° ≤ 2θ ≤ 90°:
2θ 19.31, rel. 53; 2θ 29.25, rel. 88; 2θ 29.73, rel. 52; 2θ 29.96, rel. 100; 2θ 31.74, rel. 49; 2θ 42.83, rel. 60; 2θ 43.75, rel. 73; 2θ 47.21, rel. 79

Atomic structure:
abc: 7.847 7.847 9.306
angles: 98.61 98.61 28.41
Fractional coordinates of all 21 atoms:
Sr1 0.000 0.000 0.000
Sr2 0.100 0.100 0.535
Ti1 0.314 0.314 0.004
Ti2 0.389 0.389 0.320
Ti3 0.434 0.434 0.675
Ti4 0.667 0.667 0.872
Ti5 0.723 0.723 0.197
Ti6 0.787 0.787 0.530
N1 0.262 0.262 0.182
N2 0.623 0.623 0.049
O1 0.197 0.197 0.870
O2 0.315 0.315 0.523
O3 0.401 0.401 0.857
O4 0.432 0.432 0.145
O5 0.487 0.487 0.467
O6 0.556 0.556 0.749
O7 0.683 0.683 0.379
O8 0.717 0.717 0.663
O9 0.800 0.800 0.994
O10 0.858 0.858 0.336
O11 0.916 0.916 0.648